(1)
Structure and simulated powder X-ray diffraction pattern of ZrTe3O9 (a cell relaxed with PBE; Cu Kα X-rays).
Lines closer than 0.1° are merged.

Structure:
```
data_ZrTe3O9
_cell_length_a 16.163
_cell_length_b 6.496
_cell_length_c 10.902
_cell_angle_alpha 90.00
_cell_angle_beta 125.81
_cell_angle_gamma 90.00
_space_group_name_H-M_alt 'C 1 c 1'
_space_group_IT_number 9
loop_
_space_group_symop_operation_xyz
'x,y,z'
'x,-y,z+1/2'
'x+1/2,y+1/2,z'
'x+1/2,-y+1/2,z+1/2'
loop_
_atom_site_label
_atom_site_type_symbol
_atom_site_fract_x
_atom_site_fract_y
_atom_site_fract_z
Zr1 Zr 0.000 0.207 0.000
Te1 Te 0.096 0.333 0.388
Te2 Te 0.265 0.065 0.794
Te3 Te 0.338 0.441 0.109
O1 O 0.020 0.384 0.178
O2 O 0.077 0.410 0.951
O3 O 0.137 0.050 0.158
O4 O 0.225 0.389 0.421
O5 O 0.263 0.285 0.687
O6 O 0.280 0.131 0.971
O7 O 0.363 0.123 0.330
O8 O 0.416 0.497 0.037
O9 O 0.459 0.485 0.319
```

The 6 most intense peaks (2θ from 10° to 80°), in order of rising 2θ:
hkl, Position (°2θ), I_rel
3 1 -1, 21.51, 100
1 1 -2, 21.86, 76
3 1 -2, 22.96, 62
3 1 0, 24.56, 34
2 0 2, 30.26, 60
2 2 0, 30.72, 25

(2)
Structure and simulated powder X-ray diffraction pattern of Zr5OsRh4 (a cell relaxed with PBE; Cu Kα X-rays).
Lines closer than 0.1° are merged.

Structure:
```
data_Zr5OsRh4
_cell_length_a 3.289
_cell_length_b 3.289
_cell_length_c 16.564
_cell_angle_alpha 90.00
_cell_angle_beta 90.00
_cell_angle_gamma 90.00
_space_group_name_H-M_alt 'P 4/m m m'
_space_group_IT_number 123
_space_group_name_Hall '-P 4 2'
loop_
_atom_site_label
_atom_site_type_symbol
_atom_site_fract_x
_atom_site_fract_y
_atom_site_fract_z
Zr1 Zr 0.000 0.000 0.000
Zr2 Zr 0.000 0.000 0.200
Zr3 Zr 0.000 0.000 0.400
Os1 Os 0.500 0.500 0.500
Rh1 Rh 0.500 0.500 0.100
Rh2 Rh 0.500 0.500 0.300
```

The 6 most intense peaks (2θ from 10° to 80°), in order of rising 2θ:
hkl, Position (°2θ), I_rel
1 0 5, 38.57, 100
1 1 0, 38.71, 49
0 0 10, 55.47, 9
2 0 0, 55.90, 17
1 1 10, 69.69, 17
2 1 5, 69.97, 33

(3)
Structure and simulated powder X-ray diffraction pattern of Ta4S8Cl (a cell relaxed with PBE; Cu Kα X-rays).
Lines closer than 0.1° are merged.

Structure:
```
data_Ta4S8Cl
_cell_length_a 6.6727
_cell_length_b 6.6727
_cell_length_c 16.9572
_cell_angle_alpha 90.00
_cell_angle_beta 90.00
_cell_angle_gamma 120.00
_space_group_name_H-M_alt 'P 63/m m c'
_space_group_IT_number 194
_space_group_name_Hall '-P 6c 2c'
loop_
_atom_site_label
_atom_site_type_symbol
_atom_site_fract_x
_atom_site_fract_y
_atom_site_fract_z
Ta1 Ta 0.0000 0.0000 0.2500
Ta2 Ta 0.0017 0.5008 0.2500
S1 S 0.1665 0.3330 0.1574
S2 S 0.3333 0.6667 0.6576
Cl1 Cl 0.0000 0.0000 0.0000
```

The 6 most intense peaks (2θ from 10° to 80°), in order of rising 2θ:
hkl, Position (°2θ), I_rel
0 0 2, 10.43, 100
0 0 4, 20.96, 10
2 0 0, 30.95, 15
2 0 2, 32.75, 26
2 0 4, 37.68, 32
2 0 6, 44.86, 18

(4)
Structure and simulated powder X-ray diffraction pattern of NaIn3Hg12 (a cell relaxed with PBE; Cu Kα X-rays).
Lines closer than 0.1° are merged.

Structure:
```
data_NaIn3Hg12
_cell_length_a 4.448
_cell_length_b 4.448
_cell_length_c 21.177
_cell_angle_alpha 90.00
_cell_angle_beta 90.00
_cell_angle_gamma 90.00
_space_group_name_H-M_alt 'P 4/m m m'
_space_group_IT_number 123
_space_group_name_Hall '-P 4 2'
loop_
_atom_site_label
_atom_site_type_symbol
_atom_site_fract_x
_atom_site_fract_y
_atom_site_fract_z
Na1 Na 0.000 0.000 0.000
In1 In 0.000 0.000 0.256
In2 In 0.000 0.000 0.500
Hg1 Hg 0.000 0.500 0.119
Hg2 Hg 0.000 0.500 0.374
Hg3 Hg 0.500 0.500 0.000
Hg4 Hg 0.500 0.500 0.239
Hg5 Hg 0.500 0.500 0.500
```

The 6 most intense peaks (2θ from 10° to 80°), in order of rising 2θ:
hkl, Position (°2θ), I_rel
1 1 4, 33.13, 100
0 0 8, 33.86, 22
2 0 0, 40.57, 30
2 0 8, 53.84, 24
1 1 12, 60.12, 16
3 1 4, 69.10, 24

(5)
Structure and simulated powder X-ray diffraction pattern of Ba2Sn3O7 (a cell relaxed with PBE; Cu Kα X-rays).
Lines closer than 0.1° are merged.

Structure:
```
data_Ba2Sn3O7
_cell_length_a 3.872
_cell_length_b 4.061
_cell_length_c 13.680
_cell_angle_alpha 90.00
_cell_angle_beta 90.00
_cell_angle_gamma 90.00
_space_group_name_H-M_alt 'P m m m'
_space_group_IT_number 47
loop_
_space_group_symop_operation_xyz
'x,y,z'
'-x,-y,-z'
'-x,-y,z'
'x,y,-z'
'x,-y,-z'
'-x,y,z'
'-x,y,-z'
'x,-y,z'
loop_
_atom_site_label
_atom_site_type_symbol
_atom_site_fract_x
_atom_site_fract_y
_atom_site_fract_z
Ba1 Ba 0.000 0.000 0.208
Sn1 Sn 0.500 0.500 0.000
Sn2 Sn 0.500 0.500 0.395
O1 O 0.000 0.500 0.337
O2 O 0.500 0.000 0.000
O3 O 0.500 0.000 0.348
O4 O 0.500 0.500 0.144
```

The 6 most intense peaks (2θ from 10° to 80°), in order of rising 2θ:
hkl, Position (°2θ), I_rel
0 1 2, 25.51, 77
1 0 2, 26.45, 88
1 0 3, 30.28, 52
1 1 0, 31.94, 100
0 0 5, 32.73, 53
1 1 5, 46.38, 80

(6)
Structure and simulated powder X-ray diffraction pattern of ZrMnSbSe2 (a cell relaxed with PBE; Cu Kα X-rays).
Lines closer than 0.1° are merged.

Structure:
```
data_ZrMnSbSe2
_cell_length_a 5.345
_cell_length_b 5.345
_cell_length_c 5.517
_cell_angle_alpha 90.00
_cell_angle_beta 90.00
_cell_angle_gamma 90.00
_space_group_name_H-M_alt 'P 4/m m m'
_space_group_IT_number 123
_space_group_name_Hall '-P 4 2'
loop_
_atom_site_label
_atom_site_type_symbol
_atom_site_fract_x
_atom_site_fract_y
_atom_site_fract_z
Zr1 Zr 0.000 0.000 0.000
Mn1 Mn 0.500 0.500 0.000
Sb1 Sb 0.000 0.000 0.500
Se1 Se 0.000 0.500 0.500
```

The 6 most intense peaks (2θ from 10° to 80°), in order of rising 2θ:
hkl, Position (°2θ), I_rel
1 0 0, 16.58, 77
1 1 1, 28.63, 59
0 0 2, 32.45, 55
2 0 0, 33.53, 100
2 0 2, 47.36, 74
2 2 2, 59.27, 37

(7)
Structure and simulated powder X-ray diffraction pattern of Dy4MgRh3 (a cell relaxed with PBE; Cu Kα X-rays).
Lines closer than 0.1° are merged.

Structure:
```
data_Dy4MgRh3
_cell_length_a 10.884
_cell_length_b 10.884
_cell_length_c 5.830
_cell_angle_alpha 90.00
_cell_angle_beta 90.00
_cell_angle_gamma 90.00
_space_group_name_H-M_alt 'I 4/m c m'
_space_group_IT_number 140
_space_group_name_Hall '-I 4 2c'
loop_
_atom_site_label
_atom_site_type_symbol
_atom_site_fract_x
_atom_site_fract_y
_atom_site_fract_z
Dy1 Dy 0.079 0.218 0.000
Mg1 Mg 0.000 0.500 0.250
Rh1 Rh 0.000 0.000 0.250
Rh2 Rh 0.162 0.338 0.500
```

The 6 most intense peaks (2θ from 10° to 80°), in order of rising 2θ:
hkl, Position (°2θ), I_rel
0 0 2, 30.67, 38
3 2 1, 33.43, 61
2 0 2, 34.92, 27
4 2 0, 36.94, 33
4 1 1, 37.40, 100
4 1 3, 59.05, 37

(8)
Structure and simulated powder X-ray diffraction pattern of Ba2SnHg10 (a cell relaxed with PBE; Cu Kα X-rays).
Lines closer than 0.1° are merged.

Structure:
```
data_Ba2SnHg10
_cell_length_a 10.660
_cell_length_b 13.229
_cell_length_c 6.211
_cell_angle_alpha 90.00
_cell_angle_beta 90.00
_cell_angle_gamma 90.00
_space_group_name_H-M_alt 'P b a m'
_space_group_IT_number 55
loop_
_space_group_symop_operation_xyz
'x,y,z'
'-x,-y,-z'
'-x,-y,z'
'x,y,-z'
'x+1/2,-y+1/2,-z'
'-x+1/2,y+1/2,z'
'-x+1/2,y+1/2,-z'
'x+1/2,-y+1/2,z'
loop_
_atom_site_label
_atom_site_type_symbol
_atom_site_fract_x
_atom_site_fract_y
_atom_site_fract_z
Ba1 Ba 0.199 0.079 0.000
Sn1 Sn 0.000 0.000 0.500
Hg1 Hg 0.051 0.619 0.500
Hg2 Hg 0.105 0.806 0.229
Hg3 Hg 0.158 0.211 0.500
Hg4 Hg 0.216 0.442 0.500
```

The 6 most intense peaks (2θ from 10° to 80°), in order of rising 2θ:
hkl, Position (°2θ), I_rel
0 0 1, 14.26, 100
1 4 1, 31.80, 86
3 2 1, 32.02, 39
2 1 2, 34.10, 61
1 5 0, 34.94, 40
4 2 0, 36.36, 56

(9)
Structure and simulated powder X-ray diffraction pattern of Al3Ag5 (a cell relaxed with PBE; Cu Kα X-rays).
Lines closer than 0.1° are merged.

Structure:
```
data_Al3Ag5
_cell_length_a 5.741
_cell_length_b 8.168
_cell_length_c 5.789
_cell_angle_alpha 90.00
_cell_angle_beta 90.00
_cell_angle_gamma 90.00
_space_group_name_H-M_alt 'C 2 2 2'
_space_group_IT_number 21
loop_
_space_group_symop_operation_xyz
'x,y,z'
'-x,-y,z'
'x,-y,-z'
'-x,y,-z'
'x+1/2,y+1/2,z'
'-x+1/2,-y+1/2,z'
'x+1/2,-y+1/2,-z'
'-x+1/2,y+1/2,-z'
loop_
_atom_site_label
_atom_site_type_symbol
_atom_site_fract_x
_atom_site_fract_y
_atom_site_fract_z
Al1 Al 0.000 0.000 0.000
Al2 Al 0.250 0.250 0.739
Ag1 Ag 0.000 0.000 0.500
Ag2 Ag 0.000 0.500 0.000
Ag3 Ag 0.000 0.500 0.500
Ag4 Ag 0.250 0.250 0.236
```

The 6 most intense peaks (2θ from 10° to 80°), in order of rising 2θ:
hkl, Position (°2θ), I_rel
1 1 1, 24.40, 57
0 2 2, 38.11, 100
2 2 0, 38.33, 100
0 4 0, 44.42, 96
2 4 2, 64.61, 39
0 6 2, 77.48, 34

(10)
Structure and simulated powder X-ray diffraction pattern of Ti6SnPt (a cell relaxed with PBE; Cu Kα X-rays).
Lines closer than 0.1° are merged.

Structure:
```
data_Ti6SnPt
_cell_length_a 4.652
_cell_length_b 6.244
_cell_length_c 9.481
_cell_angle_alpha 90.00
_cell_angle_beta 90.00
_cell_angle_gamma 90.00
_space_group_name_H-M_alt 'A m m 2'
_space_group_IT_number 38
loop_
_space_group_symop_operation_xyz
'x,y,z'
'-x,-y,z'
'-x,y,z'
'x,-y,z'
'x,y+1/2,z+1/2'
'-x,-y+1/2,z+1/2'
'-x,y+1/2,z+1/2'
'x,-y+1/2,z+1/2'
loop_
_atom_site_label
_atom_site_type_symbol
_atom_site_fract_x
_atom_site_fract_y
_atom_site_fract_z
Ti1 Ti 0.000 0.000 0.000
Ti2 Ti 0.000 0.216 0.288
Ti3 Ti 0.500 0.000 0.772
Ti4 Ti 0.500 0.247 0.501
Sn1 Sn 0.000 0.000 0.557
Pt1 Pt 0.500 0.000 0.230
```

The 6 most intense peaks (2θ from 10° to 80°), in order of rising 2θ:
hkl, Position (°2θ), I_rel
0 1 1, 17.00, 21
1 1 1, 25.66, 38
0 1 3, 31.73, 22
0 0 4, 37.96, 19
2 0 0, 38.71, 32
1 2 2, 39.63, 100

(11)
Structure and simulated powder X-ray diffraction pattern of RbTlSnAs2 (a cell relaxed with PBE; Cu Kα X-rays).
Lines closer than 0.1° are merged.

Structure:
```
data_RbTlSnAs2
_cell_length_a 17.809
_cell_length_b 4.423
_cell_length_c 9.932
_cell_angle_alpha 90.00
_cell_angle_beta 105.71
_cell_angle_gamma 90.00
_space_group_name_H-M_alt 'C 1 2/m 1'
_space_group_IT_number 12
loop_
_space_group_symop_operation_xyz
'x,y,z'
'-x,-y,-z'
'-x,y,-z'
'x,-y,z'
'x+1/2,y+1/2,z'
'-x+1/2,-y+1/2,-z'
'-x+1/2,y+1/2,-z'
'x+1/2,-y+1/2,z'
loop_
_atom_site_label
_atom_site_type_symbol
_atom_site_fract_x
_atom_site_fract_y
_atom_site_fract_z
Rb1 Rb 0.170 0.000 0.153
Tl1 Tl 0.186 0.000 0.521
Sn1 Sn 0.073 0.500 0.660
As1 As 0.081 0.500 0.385
As2 As 0.149 0.000 0.797
```

The 6 most intense peaks (2θ from 10° to 80°), in order of rising 2θ:
hkl, Position (°2θ), I_rel
3 1 0, 25.47, 100
2 0 -3, 27.06, 47
5 1 0, 33.06, 52
1 1 -3, 33.91, 38
6 0 -3, 36.10, 41
5 1 1, 36.31, 48

(12)
Structure and simulated powder X-ray diffraction pattern of Nd6Mg2Os (a cell relaxed with PBE; Cu Kα X-rays).
Lines closer than 0.1° are merged.

Structure:
```
data_Nd6Mg2Os
_cell_length_a 7.013
_cell_length_b 15.709
_cell_length_c 5.094
_cell_angle_alpha 90.00
_cell_angle_beta 90.00
_cell_angle_gamma 90.00
_space_group_name_H-M_alt 'C m m m'
_space_group_IT_number 65
_space_group_name_Hall '-C 2 2'
loop_
_atom_site_label
_atom_site_type_symbol
_atom_site_fract_x
_atom_site_fract_y
_atom_site_fract_z
Nd1 Nd 0.240 0.000 0.000
Nd2 Nd 0.250 0.146 0.500
Mg1 Mg 0.000 0.252 0.000
Os1 Os 0.000 0.000 0.500
```

The 6 most intense peaks (2θ from 10° to 80°), in order of rising 2θ:
hkl, Position (°2θ), I_rel
0 2 0, 11.27, 37
0 4 1, 28.70, 52
2 2 1, 33.04, 77
0 6 0, 34.26, 42
0 0 2, 35.24, 43
2 4 1, 38.70, 100